Simulated powder diffractogram of Na2AsAuF6 for Cu Kα (weighted mean of Kα1 and Kα2), from a crystal structure in the Materials Project, relaxed with PBE.

Largest 12 diffraction maxima, by angle, 5° ≤ 2θ ≤ 70°:
2θ/deg	intensity
17.22	249
19.90	1000
28.29	973
33.31	245
40.44	429
44.25	153
45.47	446
50.09	402
53.36	72
58.53	262
62.46	213
66.26	194

Structure:
Cell lengths 6.3085, 6.3085, 6.3085 Å; angles 60.00, 60.00, 60.00 degrees
Positions (direct):
Na 0.2500 0.2500 0.2500
Na 0.7500 0.7500 0.7500
As 0.0000 0.0000 0.0000
Au 0.5000 0.5000 0.5000
F 0.2282 0.2282 0.7718
F 0.2282 0.7718 0.2282
F 0.2282 0.7718 0.7718
F 0.7718 0.2282 0.2282
F 0.7718 0.2282 0.7718
F 0.7718 0.7718 0.2282

***

Simulated powder diffractogram of Cs3BiCl6 for Cu Kα (weighted mean of Kα1 and Kα2), from a crystal structure in the Materials Project, relaxed with PBE.

Largest 12 diffraction maxima, by angle, 5° ≤ 2θ ≤ 70°:
2θ/deg	intensity
12.78	82
14.77	96
20.94	1000
29.79	492
33.40	44
36.70	470
42.63	346
47.96	251
52.88	117
57.49	284
61.87	53
66.09	132

Structure:
Cell lengths 8.4827, 8.4827, 8.4827 Å; angles 60.00, 60.00, 60.00 degrees
Positions (direct):
Cs 0.0000 0.0000 0.0000
Cs 0.2500 0.2500 0.2500
Cs 0.7500 0.7500 0.7500
Bi 0.5000 0.5000 0.5000
Cl 0.2730 0.2730 0.7270
Cl 0.2730 0.7270 0.2730
Cl 0.2730 0.7270 0.7270
Cl 0.7270 0.2730 0.2730
Cl 0.7270 0.2730 0.7270
Cl 0.7270 0.7270 0.2730

***

Simulated powder diffractogram of Mg6TiNb for Cu Kα (weighted mean of Kα1 and Kα2), from a crystal structure in the Materials Project, relaxed with PBE.

Largest 12 diffraction maxima, by angle, 5° ≤ 2θ ≤ 70°:
2θ/deg	intensity
16.25	327
16.65	141
17.64	228
24.07	181
32.84	156
33.66	306
35.72	397
37.52	536
38.25	1000
49.89	191
59.15	167
65.85	187

Structure:
Cell lengths 5.0272, 6.2499, 6.2499 Å; angles 58.45, 90.00, 90.00 degrees
Positions (direct):
Mg 0.0000 0.0000 0.0000
Mg 0.0000 0.0158 0.5097
Mg 0.0000 0.4975 0.4975
Mg 0.0000 0.5097 0.0158
Mg 0.5000 0.3421 0.8404
Mg 0.5000 0.8404 0.3421
Ti 0.5000 0.8397 0.8397
Nb 0.5000 0.3398 0.3398

***

Simulated powder diffractogram of TaNi3 for Cu Kα (weighted mean of Kα1 and Kα2), from a crystal structure in the Materials Project, relaxed with PBE.

Largest 12 diffraction maxima, by angle, 5° ≤ 2θ ≤ 70°:
2θ/deg	intensity
19.54	84
26.25	166
27.31	265
28.78	162
33.81	140
39.68	92
40.52	302
42.58	447
43.61	87
45.28	609
46.03	1000
60.23	182

Structure:
Cell lengths 4.2463, 5.1084, 4.5425 Å; angles 90.00, 90.00, 90.00 degrees
Positions (direct):
Ta 0.2500 0.2500 0.1510
Ta 0.7500 0.7500 0.8490
Ni 0.2500 0.0003 0.6588
Ni 0.2500 0.4997 0.6588
Ni 0.2500 0.7500 0.1805
Ni 0.7500 0.9997 0.3412
Ni 0.7500 0.2500 0.8195
Ni 0.7500 0.5003 0.3412